No. 1
For TiPdAu4, a cell relaxed with GGA-PBE gives the calculated powder XRD pattern in this record (λ = 1.5418 Å (Cu Kα)).
Neutral-atom scattering factors, no anomalous dispersion.

The 10 most intense peaks (15° ≤ 2θ ≤ 90°), by angle:
| Position (°2θ) | d (Å) | intensity |
| --- | --- | --- |
| 37.52 | 2.397 | 100 |
| 38.48 | 2.339 | 46 |
| 38.85 | 2.318 | 45 |
| 44.04 | 2.056 | 64 |
| 44.76 | 2.025 | 30 |
| 64.34 | 1.448 | 21 |
| 64.85 | 1.438 | 20 |
| 75.81 | 1.255 | 13 |
| 76.05 | 1.251 | 13 |
| 80.08 | 1.198 | 12 |

Crystal structure
```
12
Lattice="4.972 0.000 0.000 0.000 5.947 0.000 -0.017 0.000 6.954" Properties=species:S:1:pos:R:3 pbc="T T T"
Ti 0.792 1.487 1.182
Ti 4.163 4.460 5.772
Pd -0.009 0.000 3.477
Pd -0.009 2.974 3.477
Au 0.792 4.460 1.197
Au 1.612 2.991 5.824
Au 1.612 5.930 5.824
Au 2.400 1.487 3.417
Au 2.555 4.460 3.537
Au 3.343 0.017 1.130
Au 3.343 2.956 1.130
Au 4.163 1.487 5.757
```

---

No. 2
For Ti4Pd3Au4, a cell relaxed with GGA-PBE gives the calculated powder XRD pattern in this record (λ = 1.5418 Å (Cu Kα)).
Neutral-atom scattering factors, no anomalous dispersion.

The 10 most intense peaks (15° ≤ 2θ ≤ 90°), by angle:
| Position (°2θ) | d (Å) | intensity |
| --- | --- | --- |
| 28.03 | 3.183 | 16 |
| 33.38 | 2.684 | 11 |
| 33.76 | 2.655 | 36 |
| 39.40 | 2.287 | 100 |
| 41.33 | 2.185 | 25 |
| 42.61 | 2.122 | 12 |
| 47.64 | 1.909 | 12 |
| 52.84 | 1.733 | 13 |
| 60.86 | 1.522 | 12 |
| 74.06 | 1.280 | 14 |

Crystal structure
```
11
Lattice="8.738 0.000 0.000 0.000 1.733 6.366 0.000 -1.733 6.366" Properties=species:S:1:pos:R:3 pbc="T T T"
Ti 0.000 0.000 0.000
Ti 2.172 0.000 10.506
Ti 4.369 0.000 0.074
Ti 6.566 0.000 10.506
Pd 2.023 0.000 6.020
Pd 4.369 0.000 4.500
Pd 6.715 0.000 6.020
Au 0.000 0.000 8.936
Au 2.150 0.000 1.917
Au 4.369 0.000 8.601
Au 6.589 0.000 1.917
```

---

No. 3
For TiPdAu6, a cell relaxed with GGA-PBE gives the calculated powder XRD pattern in this record (λ = 1.5418 Å (Cu Kα)).
Neutral-atom scattering factors, no anomalous dispersion.

The 10 most intense peaks (15° ≤ 2θ ≤ 90°), by angle:
| Position (°2θ) | d (Å) | intensity |
| --- | --- | --- |
| 37.95 | 2.371 | 100 |
| 43.21 | 2.094 | 17 |
| 43.90 | 2.062 | 17 |
| 45.20 | 2.006 | 15 |
| 63.29 | 1.469 | 11 |
| 64.84 | 1.438 | 11 |
| 75.65 | 1.257 | 7 |
| 75.83 | 1.255 | 7 |
| 76.72 | 1.242 | 13 |
| 78.68 | 1.216 | 6 |

Crystal structure
```
16
Lattice="9.064 0.000 0.000 0.000 4.125 0.000 -3.895 0.000 7.415" Properties=species:S:1:pos:R:3 pbc="T T T"
Ti 0.000 0.000 0.000
Ti 4.532 2.062 0.000
Pd -1.948 0.000 3.707
Pd 2.584 2.062 3.707
Au -0.945 2.062 1.826
Au 0.795 0.000 2.755
Au 1.779 2.062 0.908
Au -1.143 0.000 6.507
Au -0.158 2.062 4.660
Au 1.582 0.000 5.588
Au 3.587 0.000 1.826
Au 5.327 2.062 2.755
Au 6.312 0.000 0.908
Au 3.389 2.062 6.507
Au 4.374 0.000 4.660
Au 6.114 2.062 5.588
```

---

No. 4
For Ti3Pd2Au3, a cell relaxed with GGA-PBE gives the calculated powder XRD pattern in this record (λ = 1.5418 Å (Cu Kα)).
Neutral-atom scattering factors, no anomalous dispersion.

The 10 most intense peaks (15° ≤ 2θ ≤ 90°), by angle:
| Position (°2θ) | d (Å) | intensity |
| --- | --- | --- |
| 24.69 | 3.606 | 29 |
| 29.94 | 2.985 | 40 |
| 38.12 | 2.361 | 100 |
| 39.18 | 2.299 | 61 |
| 41.87 | 2.158 | 31 |
| 43.46 | 2.082 | 16 |
| 49.21 | 1.852 | 65 |
| 73.28 | 1.292 | 21 |
| 75.34 | 1.261 | 27 |
| 76.89 | 1.240 | 20 |

Crystal structure
```
8
Lattice="7.213 0.000 0.000 -3.606 6.246 0.000 0.000 0.000 2.985" Properties=species:S:1:pos:R:3 pbc="T T T"
Ti -2.163 3.746 0.000
Ti 1.444 2.501 0.000
Ti 4.325 0.000 0.000
Pd 0.000 4.164 1.492
Pd 3.606 2.082 1.492
Au -0.859 1.488 1.492
Au 1.718 0.000 1.492
Au 2.748 4.759 1.492
```

---

No. 5
For TlPd12Au6, a cell relaxed with GGA-PBE gives the calculated powder XRD pattern in this record (λ = 1.5418 Å (Cu Kα)).
Neutral-atom scattering factors, no anomalous dispersion.

The 10 most intense peaks (15° ≤ 2θ ≤ 90°), by angle:
| Position (°2θ) | d (Å) | intensity |
| --- | --- | --- |
| 20.78 | 4.274 | 4 |
| 24.77 | 3.594 | 3 |
| 25.28 | 3.524 | 4 |
| 38.57 | 2.334 | 100 |
| 44.84 | 2.021 | 49 |
| 65.22 | 1.430 | 16 |
| 65.34 | 1.428 | 16 |
| 78.37 | 1.220 | 10 |
| 78.50 | 1.218 | 29 |
| 82.75 | 1.166 | 9 |

Crystal structure
```
19
Lattice="6.225 3.594 2.338 -6.225 3.594 2.338 0.000 -7.188 2.338" Properties=species:S:1:pos:R:3 pbc="T T T"
Tl 0.000 0.000 0.000
Pd -3.926 1.889 2.333
Pd 0.327 -4.344 2.333
Pd -1.635 0.188 2.348
Pd -3.599 -2.455 4.680
Pd 0.655 -1.510 2.348
Pd 0.980 1.322 2.348
Pd -0.980 -1.322 4.666
Pd -0.655 1.510 4.666
Pd 3.599 2.455 2.333
Pd 1.635 -0.188 4.666
Pd -0.327 4.344 4.680
Pd 3.926 -1.889 4.680
Au -1.949 -2.640 2.332
Au -1.312 3.008 2.332
Au -3.261 0.368 4.682
Au 3.261 -0.368 2.332
Au 1.312 -3.008 4.682
Au 1.949 2.640 4.682
```

---

No. 6
For TlPd2Au4, a cell relaxed with GGA-PBE gives the calculated powder XRD pattern in this record (λ = 1.5418 Å (Cu Kα)).
Neutral-atom scattering factors, no anomalous dispersion.

The 10 most intense peaks (15° ≤ 2θ ≤ 90°), by angle:
| Position (°2θ) | d (Å) | intensity |
| --- | --- | --- |
| 23.00 | 3.867 | 54 |
| 33.41 | 2.682 | 53 |
| 36.97 | 2.431 | 48 |
| 37.15 | 2.420 | 100 |
| 42.76 | 2.115 | 92 |
| 46.00 | 1.973 | 67 |
| 60.42 | 1.532 | 47 |
| 76.62 | 1.244 | 29 |
| 79.25 | 1.209 | 23 |
| 82.90 | 1.165 | 28 |

Crystal structure
```
14
Lattice="3.946 0.000 0.000 0.000 3.946 0.000 0.000 0.000 19.449" Properties=species:S:1:pos:R:3 pbc="T T T"
Tl 0.000 0.000 0.000
Tl 1.973 1.973 9.725
Pd 0.000 0.000 7.047
Pd 0.000 0.000 12.402
Pd 1.973 1.973 2.677
Pd 1.973 1.973 16.772
Au 0.000 0.000 2.714
Au 0.000 0.000 16.735
Au 0.000 1.973 4.862
Au 0.000 1.973 14.587
Au 1.973 0.000 4.862
Au 1.973 0.000 14.587
Au 1.973 1.973 7.011
Au 1.973 1.973 12.439
```